For Pr3Si2C2, the GGA-PBE geometry in the Materials Project gives the calculated powder diffraction line list in this record (Cu Ka).
Lines closer than 0.1° are merged.

Largest 6 diffraction maxima, low angle first, 2θ = 15–90°:
two_theta  Rel. int.
26.16  57
30.10  100
32.04  25
40.24  21
48.56  18
50.85  19

Crystal structure
```
Pr3Si2C2
1.0
2.149 -8.379 0.000
2.149 8.379 0.000
0.000 0.000 4.226
Pr Si C
3 2 2
direct
0.000 0.000 0.000 Pr
0.342 0.658 0.503 Pr
0.658 0.342 0.503 Pr
0.203 0.797 0.003 Si
0.797 0.203 0.003 Si
0.351 0.351 0.500 C
0.649 0.649 0.500 C
```

For LaAg, the GGA-PBE geometry in the Materials Project gives the calculated powder diffraction line list in this record (Cu Ka).
Lines closer than 0.1° are merged.

Largest 6 diffraction maxima, low angle first, 2θ = 15–90°:
two_theta  Rel. int.
32.96  100
47.31  18
58.86  37
69.14  11
78.75  15
88.04  4

Crystal structure
```
LaAg
1.0
3.843 0.000 0.000
0.000 3.843 0.000
0.000 0.000 3.843
La Ag
1 1
direct
0.000 0.000 0.000 La
0.500 0.500 0.500 Ag
```

For NaNb2O4, the GGA-PBE geometry in the Materials Project gives the calculated powder diffraction line list in this record (Cu Ka).
Lines closer than 0.1° are merged.

Largest 6 diffraction maxima, low angle first, 2θ = 15–90°:
two_theta  Rel. int.
15.27  100
35.30  33
37.85  29
41.80  48
52.82  31
61.65  15

Crystal structure
```
NaNb2O4
1.0
3.009 0.000 0.000
-1.505 2.606 0.000
0.000 0.000 11.605
Na Nb O
1 2 4
direct
0.000 0.000 0.000 Na
0.333 0.667 0.745 Nb
0.667 0.333 0.255 Nb
0.333 0.667 0.140 O
0.333 0.667 0.353 O
0.667 0.333 0.647 O
0.667 0.333 0.860 O
```

For TaC, the GGA-PBE geometry in the Materials Project gives the calculated powder diffraction line list in this record (Cu Ka).
Lines closer than 0.1° are merged.

Largest 6 diffraction maxima, low angle first, 2θ = 15–90°:
two_theta  Rel. int.
34.66  100
40.24  63
58.22  42
69.56  42
73.14  14
86.94  7

Crystal structure
```
TaC
1.0
0.000 2.241 2.241
2.241 0.000 2.241
2.241 2.241 0.000
Ta C
1 1
direct
0.000 0.000 0.000 Ta
0.500 0.500 0.500 C
```

For Mg6NbW, the GGA-PBE geometry in the Materials Project gives the calculated powder diffraction line list in this record (Cu Ka).
Lines closer than 0.1° are merged.

Largest 6 diffraction maxima, low angle first, 2θ = 15–90°:
two_theta  Rel. int.
16.07  78
17.78  56
24.06  50
35.26  38
37.26  58
39.74  100

Crystal structure
```
Mg6NbW
1.0
4.988 0.000 0.000
0.000 2.869 5.515
0.000 -2.869 5.515
Mg Nb W
6 1 1
direct
0.000 0.000 0.000 Mg
0.000 0.019 0.512 Mg
0.000 0.495 0.495 Mg
0.000 0.512 0.019 Mg
0.500 0.352 0.853 Mg
0.500 0.853 0.352 Mg
0.500 0.852 0.852 Nb
0.500 0.352 0.352 W
```